Diffraction record for CuSiH2O4. The powder X-ray diffraction pattern is simulated, not measured: it uses a GGA-PBE-relaxed structure and Cu Kα.

Peak list (10 most intense, 2θ from 10° to 90°, sorted by position)
- (1 1 0), 7.376 Å, 12.0 deg, I = 100
- (0 2 1), 4.947 Å, 17.9 deg, I = 36
- (3 -1 1), 4.108 Å, 21.6 deg, I = 28
- (1 3 1), 3.227 Å, 27.6 deg, I = 23
- (5 -2 1), 2.745 Å, 32.6 deg, I = 23
- (3 1 2), 2.625 Å, 34.2 deg, I = 66
- (1 1 3), 2.457 Å, 36.6 deg, I = 17
- (6 -4 1), 2.307 Å, 39.0 deg, I = 15
- (5 0 2), 2.139 Å, 42.3 deg, I = 22
- (4 -3 4), 1.711 Å, 53.5 deg, I = 16

Structural model:
a = 14.7527 Å, b = 14.7527 Å, c = 7.8180 Å
α = 90.00°, β = 90.00°, γ = 120.00°
Space group R-3 (No. 148, hexagonal axes)
Asymmetric unit:
1 Cu 0.0031 0.5970 0.4355
2 Si 0.0415 0.2169 0.5410
3 H 0.0283 0.8782 0.9592
4 H 0.0601 0.1716 0.1916
5 O 0.0204 0.3004 0.4348
6 O 0.0445 0.1785 0.0714
7 O 0.0665 0.5077 0.3825
8 O 0.0713 0.8911 0.4166

***

Diffraction record for Au2O3. The powder X-ray diffraction pattern is simulated, not measured: it uses a GGA-PBE-relaxed structure and Cu Kα.

Peak list (10 most intense, 2θ from 10° to 90°, sorted by position)
- (1 1 1), 3.640 Å, 24.5 deg, I = 100
- (1 3 1), 2.857 Å, 31.3 deg, I = 38
- (2 4 0), 2.782 Å, 32.2 deg, I = 82
- (4 0 0), 2.666 Å, 33.6 deg, I = 34
- (3 1 1), 2.619 Å, 34.2 deg, I = 56
- (3 3 1), 2.277 Å, 39.6 deg, I = 38
- (1 5 1), 2.149 Å, 42.0 deg, I = 28
- (4 2 2), 1.567 Å, 59.0 deg, I = 27
- (6 4 0), 1.560 Å, 59.2 deg, I = 25
- (2 6 2), 1.429 Å, 65.3 deg, I = 27

Structural model:
a = 10.662 Å, b = 13.045 Å, c = 4.056 Å
α = 90.00°, β = 90.00°, γ = 90.00°
Space group Fdd2 (No. 43)
Asymmetric unit:
1 Au 0.116 0.296 0.000
2 O 0.000 0.000 0.441
3 O 0.017 0.168 0.866

***

Diffraction record for NaPdO3. The powder X-ray diffraction pattern is simulated, not measured: it uses a GGA-PBE-relaxed structure and Cu Kα.

Peak list (10 most intense, 2θ from 10° to 90°, sorted by position)
- (1 0 0), 3.991 Å, 22.3 deg, I = 95
- (1 1 0), 2.822 Å, 31.7 deg, I = 100
- (2 0 0), 1.996 Å, 45.5 deg, I = 43
- (2 1 0), 1.785 Å, 51.2 deg, I = 37
- (2 1 1), 1.629 Å, 56.5 deg, I = 39
- (2 2 0), 1.411 Å, 66.2 deg, I = 25
- (3 0 0), 1.330 Å, 70.8 deg, I = 17
- (3 1 0), 1.262 Å, 75.3 deg, I = 16
- (2 2 2), 1.152 Å, 84.0 deg, I = 8
- (3 2 0), 1.107 Å, 88.3 deg, I = 8

Structural model:
a = 3.991 Å, b = 3.991 Å, c = 3.991 Å
α = 90.00°, β = 90.00°, γ = 90.00°
Space group Pm-3m (No. 221)
Asymmetric unit:
1 Na 0.000 0.000 0.000
2 Pd 0.500 0.500 0.500
3 O 0.000 0.500 0.500

***

Diffraction record for NaMg14C. The powder X-ray diffraction pattern is simulated, not measured: it uses a GGA-PBE-relaxed structure and Cu Kα.

Peak list (10 most intense, 2θ from 10° to 90°, sorted by position)
- (0 0 4), 2.932 Å, 30.5 deg, I = 12
- (0 2 2), 2.747 Å, 32.6 deg, I = 28
- (2 0 4), 2.518 Å, 35.7 deg, I = 59
- (4 0 0), 2.458 Å, 36.6 deg, I = 36
- (2 2 2), 2.398 Å, 37.5 deg, I = 100
- (4 2 2), 1.832 Å, 49.8 deg, I = 15
- (0 2 6), 1.655 Å, 55.5 deg, I = 19
- (6 2 2), 1.407 Å, 66.4 deg, I = 14
- (4 2 6), 1.373 Å, 68.3 deg, I = 20
- (2 4 4), 1.323 Å, 71.3 deg, I = 13

Structural model:
a = 9.831 Å, b = 6.220 Å, c = 11.729 Å
α = 90.00°, β = 90.00°, γ = 90.00°
Space group Amm2 (No. 38)
Asymmetric unit:
1 Na 0.000 0.000 0.000
2 Mg 0.000 0.245 0.245
3 Mg 0.229 0.233 0.404
4 Mg 0.240 0.000 0.649
5 Mg 0.260 0.000 0.150
6 Mg 0.500 0.000 0.489
7 Mg 0.500 0.000 0.978
8 Mg 0.500 0.247 0.742
9 C 0.000 0.000 0.384